[1]
Diffraction record for CaZn3Se4. The XRD peak list is calculated, not measured: it uses the PBE geometry in the Materials Project and CuKα.
Lines closer than 0.1° are merged.

Main lines, by intensity (10 to 80 degrees two-theta):
| 2θ (°) | I/Imax | h k l |
| --- | --- | --- |
| 25.88 | 100 | 1 1 1 |
| 42.90 | 72 | 2 2 0 |
| 50.78 | 42 | 3 1 1 |
| 78.60 | 20 | 4 2 2 |
| 68.60 | 15 | 3 3 1 |
| 62.28 | 11 | 4 0 0 |
| 14.86 | 7 | 1 0 0 |
| 36.93 | 5 | 2 1 1 |

Crystal structure
abc: 5.963 5.963 5.963
angles: 90.00 90.00 90.00
Space group P-43m (No. 215)
Inequivalent atoms, fractional coordinates:
Ca: 0.000 0.000 0.000 [1 per cell]
Zn: 0.000 0.500 0.500 [3 per cell]
Se: 0.269 0.269 0.269 [4 per cell]


[2]
Diffraction record for Ba4BiIr3O12. The XRD peak list is calculated, not measured: it uses the PBE geometry in the Materials Project and CuKα.
Lines closer than 0.1° are merged.

Main lines, by intensity (10 to 80 degrees two-theta):
| 2θ (°) | I/Imax | h k l |
| --- | --- | --- |
| 29.86 | 100 | 0 2 0 |
| 27.41 | 33 | 1 1 7 |
| 53.01 | 20 | 3 3 0 |
| 17.90 | 16 | 1 1 -2 |
| 39.99 | 16 | 2 2 -7 |
| 62.03 | 16 | 0 4 0 |
| 25.99 | 15 | 2 0 -7 |
| 18.50 | 12 | 2 0 2 |

Crystal structure
abc: 10.387 5.986 30.166
angles: 90.00 93.99 90.00
Space group C2/m (No. 12)
Inequivalent atoms, fractional coordinates:
Ba: 0.004 0.000 0.217 [4 per cell]
Ba: 0.005 0.000 0.628 [4 per cell]
Ba: 0.155 0.500 0.120 [4 per cell]
Ba: 0.168 0.500 0.961 [4 per cell]
Ba: 0.174 0.500 0.703 [4 per cell]
Ba: 0.178 0.500 0.549 [4 per cell]
Bi: 0.000 0.000 0.500 [2 per cell]
Bi: 0.171 0.500 0.832 [4 per cell]
Ir: 0.000 0.000 0.000 [2 per cell]
Ir: 0.018 0.000 0.914 [4 per cell]
Ir: 0.148 0.500 0.419 [4 per cell]
Ir: 0.163 0.500 0.334 [4 per cell]
Ir: 0.177 0.500 0.249 [4 per cell]
O: 0.002 0.500 0.369 [4 per cell]
O: 0.038 0.500 0.201 [4 per cell]
O: 0.054 0.261 0.449 [8 per cell]
O: 0.070 0.229 0.046 [8 per cell]
O: 0.091 0.268 0.289 [8 per cell]
O: 0.113 0.238 0.883 [8 per cell]
O: 0.119 0.000 0.135 [4 per cell]
O: 0.161 0.000 0.965 [4 per cell]
O: 0.177 0.000 0.701 [4 per cell]
O: 0.212 0.000 0.533 [4 per cell]
O: 0.228 0.240 0.781 [8 per cell]
O: 0.236 0.269 0.379 [8 per cell]


[3]
Diffraction record for Cr5As3. The XRD peak list is calculated, not measured: it uses the PBE geometry in the Materials Project and CuKα.
Lines closer than 0.1° are merged.

Main lines, by intensity (10 to 80 degrees two-theta):
| 2θ (°) | I/Imax | h k l |
| --- | --- | --- |
| 38.67 | 100 | 1 2 2 |
| 42.34 | 96 | 2 2 2 |
| 46.26 | 62 | 4 2 0 |
| 49.26 | 45 | 0 4 0 |
| 40.64 | 43 | 3 2 1 |
| 41.53 | 40 | 4 0 1 |
| 32.26 | 38 | 3 0 1 |
| 39.20 | 30 | 0 3 1 |

Crystal structure
abc: 9.260 7.399 6.334
angles: 90.00 90.00 90.00
Space group Pnma (No. 62)
Inequivalent atoms, fractional coordinates:
Cr: 0.016 0.250 0.026 [4 per cell]
Cr: 0.077 0.056 0.701 [8 per cell]
Cr: 0.208 0.750 0.348 [4 per cell]
Cr: 0.249 0.750 0.806 [4 per cell]
As: 0.006 0.750 0.586 [4 per cell]
As: 0.170 0.515 0.072 [8 per cell]


[4]
Diffraction record for Ag8HgAs2O10. The XRD peak list is calculated, not measured: it uses the PBE geometry in the Materials Project and CuKα.
Lines closer than 0.1° are merged.

Main lines, by intensity (10 to 80 degrees two-theta):
| 2θ (°) | I/Imax | h k l |
| --- | --- | --- |
| 33.50 | 100 | 1 1 4 |
| 30.35 | 74 | 2 -1 2 |
| 38.23 | 34 | 1 1 6 |
| 51.84 | 31 | 3 0 0 |
| 32.31 | 30 | 0 0 8 |
| 20.65 | 28 | 1 0 3 |
| 62.42 | 21 | 3 0 8 |
| 50.90 | 17 | 2 -1 10 |

Crystal structure
abc: 6.1092 6.1092 22.1631
angles: 90.00 90.00 120.00
Space group P31c (No. 159)
Inequivalent atoms, fractional coordinates:
Ag: 0.0261 0.3750 0.0000 [6 per cell]
Ag: 0.0407 0.6798 0.7457 [6 per cell]
Ag: 0.3333 0.6667 0.6477 [2 per cell]
Ag: 0.3333 0.6667 0.9038 [2 per cell]
Hg: 0.3333 0.6667 0.3629 [2 per cell]
As: 0.0000 0.0000 0.1163 [2 per cell]
As: 0.0000 0.0000 0.3729 [2 per cell]
O: 0.0000 0.0000 0.1957 [2 per cell]
O: 0.0000 0.0000 0.4511 [2 per cell]
O: 0.1354 0.3064 0.5905 [6 per cell]
O: 0.1485 0.8416 0.8451 [6 per cell]
O: 0.3333 0.6667 0.2682 [2 per cell]
O: 0.3333 0.6667 0.4565 [2 per cell]